# PRhPb
Simulated powder diffraction line list, Cu Ka. Input: a structure optimized by DFT (PBE).
Kinematic intensities with the Lorentz-polarization factor, no thermal factor.

Largest 10 diffraction maxima, by intensity, 2θ from 10° to 90°:
d [Å]	2θ/deg	I_rel
2.786	32.13	100
2.543	35.30	61
1.665	55.18	36
1.878	48.47	23
1.157	83.60	21
3.596	24.76	21
1.359	69.11	18
1.970	46.08	16
1.222	78.26	14
4.404	20.16	13

Crystal structure
```
data_PRhPb
_chemical_formula_sum 'P4 Rh4 Pb4'
_symmetry_space_group_name_H-M 'P 21 3'
_symmetry_Int_Tables_number 198
_symmetry_space_group_name_Hall 'P 2ac 2ab 3'
_cell_length_a 6.229
_cell_length_b 6.229
_cell_length_c 6.229
_cell_angle_alpha 90.00
_cell_angle_beta 90.00
_cell_angle_gamma 90.00
loop_
_atom_site_label
_atom_site_type_symbol
_atom_site_fract_x
_atom_site_fract_y
_atom_site_fract_z
_atom_site_occupancy
P1 P 0.134 0.134 0.134 1
Rh1 Rh 0.058 0.942 0.442 1
Pb1 Pb 0.142 0.358 0.642 1
```



# Sm2P3Rh12Pb
Simulated powder diffraction line list, Cu Ka. Input: a structure optimized by DFT (PBE).
Kinematic intensities with the Lorentz-polarization factor, no thermal factor.

Largest 10 diffraction maxima, by intensity, 2θ from 10° to 90°:
d [Å]	2θ/deg	I_rel
2.070	43.72	100
2.711	33.05	92
2.576	34.82	70
1.793	50.94	39
3.007	29.71	33
1.167	82.66	32
3.312	26.92	25
1.413	66.11	21
2.268	39.74	19
1.355	69.33	18

Crystal structure
```
data_Sm2P3Rh12Pb
_chemical_formula_sum 'Sm6 P9 Rh36 Pb3'
_symmetry_space_group_name_H-M 'R -3 m'
_symmetry_Int_Tables_number 166
_symmetry_space_group_name_Hall '-R 3 2"'
_cell_length_a 8.2815
_cell_length_b 8.2815
_cell_length_c 16.5609
_cell_angle_alpha 90.00
_cell_angle_beta 90.00
_cell_angle_gamma 120.00
loop_
_atom_site_label
_atom_site_type_symbol
_atom_site_fract_x
_atom_site_fract_y
_atom_site_fract_z
_atom_site_occupancy
Sm1 Sm 0.0000 0.0000 0.0978 1
P1 P 0.0000 0.5000 0.0000 1
Rh1 Rh 0.0270 0.5135 0.8651 1
Rh2 Rh 0.0483 0.5241 0.3587 1
Pb1 Pb 0.0000 0.0000 0.5000 1
```